The following is a simulated XRD peak list of CoH6C6N2O4. It was derived from a cell relaxed with PBE+U, using Cu Kα X-rays.
Neutral-atom scattering factors, no anomalous dispersion.

The 12 most intense peaks (5° ≤ 2θ ≤ 70°), by angle:
| 2theta | Rel. int. | h k l |
| --- | --- | --- |
| 14.91 | 47.2 | 2 0 0 |
| 17.45 | 100.0 | 1 1 1 |
| 20.86 | 34.6 | 0 0 2 |
| 25.19 | 27.0 | 1 1 -2 |
| 25.44 | 17.2 | 3 1 0 |
| 27.56 | 24.8 | 3 1 1 |
| 34.62 | 9.6 | 1 1 -3 |
| 35.33 | 10.1 | 2 2 2 |
| 38.69 | 18.9 | 4 2 0 |
| 41.26 | 9.1 | 5 1 1 |
| 42.46 | 11.0 | 0 0 4 |
| 44.38 | 13.4 | 4 2 2 |

Structure:
Cell lengths 11.882, 7.491, 8.515 Å; angles 90.00, 90.14, 90.00 degrees
Space group C2/c (No. 15)
Unique sites:
Co: 0.250 0.250 0.000 x4
H: 0.000 0.176 0.017 x8
H: 0.166 0.085 0.676 x8
H: 0.180 0.350 0.477 x8
C: 0.000 0.321 0.010 x8
C: 0.100 0.418 0.488 x8
C: 0.177 0.017 0.268 x8
N: 0.100 0.404 0.997 x8
O: 0.163 0.030 0.910 x8
O: 0.204 0.174 0.227 x8